1.
Starting from a GGA-PBE-relaxed structure, the X-ray powder pattern of LiCa2In12Pt3 was calculated for Cu Kα (λ = 1.5418 Å).

Main lines, in order of rising 2θ (10 to 90 degrees two-theta):
13.39 deg, d 6.612, I = 33
18.83 deg, d 4.713, I = 28
22.24 deg, d 3.998, I = 100
30.34 deg, d 2.946, I = 38
32.91 deg, d 2.721, I = 26
33.48 deg, d 2.677, I = 36
35.68 deg, d 2.516, I = 37
38.19 deg, d 2.357, I = 64
38.68 deg, d 2.328, I = 78
40.64 deg, d 2.220, I = 26

Structural model:
```
data_LiCa2In12Pt3
_space_group_name_H-M_alt 'P 1'
_space_group_IT_number 1
_cell_length_a 8.5635
_cell_length_b 8.5635
_cell_length_c 8.5635
_cell_angle_alpha 66.79
_cell_angle_beta 66.79
_cell_angle_gamma 66.79
loop_
_space_group_symop_operation_xyz
'x,y,z'
loop_
_atom_site_label
_atom_site_fract_x
_atom_site_fract_y
_atom_site_fract_z
Li1 0.0000 0.0000 0.0000
Ca1 0.4164 0.4164 0.4164
Ca2 0.5836 0.5836 0.5836
In1 0.1546 0.7383 0.7383
In2 0.1720 0.1720 0.5507
In3 0.1720 0.5507 0.1720
In4 0.2617 0.2617 0.8454
In5 0.2617 0.8454 0.2617
In6 0.4493 0.8280 0.8280
In7 0.5507 0.1720 0.1720
In8 0.7383 0.1546 0.7383
In9 0.7383 0.7383 0.1546
In10 0.8280 0.4493 0.8280
In11 0.8280 0.8280 0.4493
In12 0.8454 0.2617 0.2617
Pt1 0.0000 0.0000 0.5000
Pt2 0.0000 0.5000 0.0000
Pt3 0.5000 0.0000 0.0000
```

2.
Starting from a GGA-PBE-relaxed structure, the X-ray powder pattern of Ba12AlIn6 was calculated for Cu Kα (λ = 1.5418 Å).

Main lines, in order of rising 2θ (10 to 90 degrees two-theta):
11.29 deg, d 7.840, I = 14
18.35 deg, d 4.834, I = 43
21.26 deg, d 4.179, I = 38
25.60 deg, d 3.479, I = 28
26.71 deg, d 3.337, I = 29
30.16 deg, d 2.963, I = 100
30.33 deg, d 2.947, I = 89
35.58 deg, d 2.524, I = 18
43.30 deg, d 2.089, I = 30
53.67 deg, d 1.708, I = 18

Structural model:
```
data_Ba12AlIn6
_space_group_name_H-M_alt 'P 1'
_space_group_IT_number 1
_cell_length_a 10.2459
_cell_length_b 10.2459
_cell_length_c 10.2459
_cell_angle_alpha 99.84
_cell_angle_beta 99.84
_cell_angle_gamma 99.84
loop_
_space_group_symop_operation_xyz
'x,y,z'
loop_
_atom_site_label
_atom_site_fract_x
_atom_site_fract_y
_atom_site_fract_z
Ba1 0.0542 0.9389 0.6807
Ba2 0.0611 0.3193 0.9458
Ba3 0.1774 0.5818 0.4331
Ba4 0.3193 0.9458 0.0611
Ba5 0.4182 0.5669 0.8226
Ba6 0.4331 0.1774 0.5818
Ba7 0.5669 0.8226 0.4182
Ba8 0.5818 0.4331 0.1774
Ba9 0.6807 0.0542 0.9389
Ba10 0.8226 0.4182 0.5669
Ba11 0.9389 0.6807 0.0542
Ba12 0.9458 0.0611 0.3193
Al1 0.0000 0.0000 0.0000
In1 0.1375 0.3000 0.6142
In2 0.3000 0.6142 0.1375
In3 0.3858 0.8625 0.7000
In4 0.6142 0.1375 0.3000
In5 0.7000 0.3858 0.8625
In6 0.8625 0.7000 0.3858
```

3.
Starting from a GGA-PBE-relaxed structure, the X-ray powder pattern of CsZn2B2O6 was calculated for Cu Kα (λ = 1.5418 Å).

Main lines, in order of rising 2θ (10 to 90 degrees two-theta):
18.59 deg, d 4.773, I = 50
26.60 deg, d 3.351, I = 100
27.53 deg, d 3.240, I = 42
27.60 deg, d 3.231, I = 26
27.87 deg, d 3.202, I = 33
28.03 deg, d 3.184, I = 32
33.93 deg, d 2.642, I = 21
39.10 deg, d 2.304, I = 18
48.41 deg, d 1.880, I = 22
57.02 deg, d 1.615, I = 17

Structural model:
```
data_CsZn2B2O6
_space_group_name_H-M_alt 'P 1'
_space_group_IT_number 1
_cell_length_a 5.1762
_cell_length_b 5.2840
_cell_length_c 7.4154
_cell_angle_alpha 110.59
_cell_angle_beta 109.22
_cell_angle_gamma 90.26
loop_
_space_group_symop_operation_xyz
'x,y,z'
loop_
_atom_site_label
_atom_site_fract_x
_atom_site_fract_y
_atom_site_fract_z
Cs1 0.0000 0.0000 0.0000
Zn1 0.3229 0.7334 0.4651
Zn2 0.6771 0.2666 0.5349
B1 0.2894 0.3484 0.6906
B2 0.7106 0.6516 0.3094
O1 0.0507 0.3667 0.7296
O2 0.4279 0.1204 0.6684
O3 0.4309 0.5580 0.6729
O4 0.5691 0.4420 0.3271
O5 0.5721 0.8796 0.3316
O6 0.9493 0.6333 0.2704
```